Starting from a cell relaxed with PBE, the powder diffraction line list of CuNiMo4N2 was computed for Cu Kα X-rays.
Lines closer than 0.1° are merged.

Main lines, sorted by position (10° ≤ 2θ ≤ 90°):
| Position (°2θ) | d [Å] | Rel. int. |
| --- | --- | --- |
| 24.70 | 3.605 | 7 |
| 37.00 | 2.430 | 20 |
| 37.42 | 2.403 | 22 |
| 41.65 | 2.168 | 100 |
| 53.64 | 1.709 | 15 |
| 58.77 | 1.571 | 7 |
| 66.67 | 1.403 | 18 |
| 70.39 | 1.337 | 12 |
| 79.04 | 1.211 | 15 |
| 81.77 | 1.178 | 13 |

Structural model:
```
CuNiMo4N2
1.0
2.806 0.000 0.000
-1.403 2.430 0.000
0.000 0.000 14.418
Cu Ni Mo N
1 1 4 2
direct
0.000 0.000 0.000 Cu
0.667 0.333 0.500 Ni
0.000 0.000 0.351 Mo
0.000 0.000 0.649 Mo
0.667 0.333 0.154 Mo
0.667 0.333 0.846 Mo
0.333 0.667 0.252 N
0.333 0.667 0.748 N
```


Starting from a cell relaxed with PBE, the powder diffraction line list of Na2CuMoS4 was computed for Cu Kα X-rays.
Lines closer than 0.1° are merged.

Main lines, sorted by position (10° ≤ 2θ ≤ 90°):
| Position (°2θ) | d [Å] | Rel. int. |
| --- | --- | --- |
| 16.90 | 5.245 | 70 |
| 27.37 | 3.259 | 100 |
| 28.57 | 3.124 | 8 |
| 33.38 | 2.684 | 12 |
| 40.85 | 2.209 | 24 |
| 42.87 | 2.110 | 14 |
| 47.62 | 1.910 | 34 |
| 49.87 | 1.828 | 30 |
| 53.74 | 1.706 | 11 |
| 61.32 | 1.512 | 9 |

Structural model:
```
Na2CuMoS4
1.0
4.417 -4.827 0.000
4.417 4.827 0.000
-4.414 0.000 4.419
Na Cu Mo S
2 1 1 4
direct
0.000 0.000 0.000 Na
0.751 0.249 0.500 Na
0.250 0.750 0.500 Cu
0.500 0.500 0.000 Mo
0.193 0.449 0.063 S
0.387 0.130 0.579 S
0.551 0.807 0.937 S
0.870 0.613 0.421 S
```


Starting from a cell relaxed with PBE, the powder diffraction line list of RbCu3MoSe4 was computed for Cu Kα X-rays.
Lines closer than 0.1° are merged.

Main lines, sorted by position (10° ≤ 2θ ≤ 90°):
| Position (°2θ) | d [Å] | Rel. int. |
| --- | --- | --- |
| 14.23 | 6.223 | 30 |
| 20.18 | 4.400 | 22 |
| 24.78 | 3.593 | 75 |
| 35.33 | 2.541 | 15 |
| 41.02 | 2.200 | 100 |
| 48.52 | 1.876 | 30 |
| 53.06 | 1.726 | 11 |
| 55.23 | 1.663 | 10 |
| 59.41 | 1.556 | 14 |
| 74.73 | 1.270 | 26 |

Structural model:
```
RbCu3MoSe4
1.0
6.223 0.000 0.000
0.000 6.223 0.000
0.000 0.000 6.223
Rb Cu Mo Se
1 3 1 4
direct
0.000 0.000 0.000 Rb
0.000 0.500 0.500 Cu
0.500 0.000 0.500 Cu
0.500 0.500 0.000 Cu
0.500 0.500 0.500 Mo
0.278 0.278 0.278 Se
0.278 0.722 0.722 Se
0.722 0.278 0.722 Se
0.722 0.722 0.278 Se
```